# 1
Calculated XRD peak list
Compound: Dy2ZnHPt6
Radiation: λ = 1.5418 Å (Cu Kα)
Structure: a structure optimized by DFT (GGA-PBE)
No peak broadening, texture or thermal motion is included.

Cell and atoms:
abc: 5.6043 5.6065 7.0034
angles: 66.52 66.55 60.07
Space group P-1 (No. 2)
Asymmetric unit:
Dy 0.2147 0.2156 0.3566 [2 per cell]
Zn 0.5000 0.5000 0.5000 [1 per cell]
H 0.0000 0.0000 0.0000 [1 per cell]
Pt 0.2308 0.7270 0.8097 [2 per cell]
Pt 0.2315 0.2301 0.8076 [2 per cell]
Pt 0.2710 0.7704 0.1913 [2 per cell]

Most intense lines, 2θ from 10° to 90°, sorted by position:
28.7°, intensity 29, hkl 0 0 2
30.2°, intensity 21, hkl 1 1 -1
35.1°, intensity 24, hkl 1 -1 1
38.3°, intensity 100, hkl 2 2 2
38.5°, intensity 25, hkl 1 1 3
41.9°, intensity 73, hkl 0 2 2
55.1°, intensity 9, hkl 1 -1 3
61.3°, intensity 9, hkl 1 3 -1
66.7°, intensity 27, hkl 4 2 2
79.6°, intensity 12, hkl 0 4 2


# 2
Calculated XRD peak list
Compound: Ti2Bi2O7
Radiation: λ = 1.5418 Å (Cu Kα)
Structure: a structure optimized by DFT (GGA-PBE)
No peak broadening, texture or thermal motion is included.

Cell and atoms:
abc: 7.4215 10.4899 7.5195
angles: 90.00 90.00 90.00
Space group Pna2_1 (No. 33)
Asymmetric unit:
Ti 0.0079 0.0109 0.0000 [4 per cell]
Ti 0.2398 0.7387 0.2375 [4 per cell]
Bi 0.0338 0.4684 0.9647 [4 per cell]
Bi 0.2255 0.7617 0.7899 [4 per cell]
O 0.0034 0.9250 0.7307 [4 per cell]
O 0.0115 0.3151 0.7522 [4 per cell]
O 0.0125 0.3793 0.2543 [4 per cell]
O 0.1717 0.8648 0.0423 [4 per cell]
O 0.1901 0.8783 0.4205 [4 per cell]
O 0.2031 0.1148 0.9184 [4 per cell]
O 0.2089 0.1244 0.5360 [4 per cell]

Most intense lines, 2θ from 10° to 90°, sorted by position:
14.5°, intensity 38, hkl 0 1 1
14.6°, intensity 40, hkl 1 1 0
27.9°, intensity 22, hkl 1 1 2
28.1°, intensity 65, hkl 0 3 1
29.2°, intensity 96, hkl 0 2 2
29.5°, intensity 100, hkl 2 2 0
33.9°, intensity 41, hkl 2 0 2
37.3°, intensity 23, hkl 2 3 1
48.9°, intensity 42, hkl 2 4 2
58.2°, intensity 25, hkl 4 2 2


# 3
Calculated XRD peak list
Compound: KPa2C2N6
Radiation: λ = 1.5418 Å (Cu Kα)
Structure: a structure optimized by DFT (GGA-PBE)
No peak broadening, texture or thermal motion is included.

Cell and atoms:
abc: 10.2253 6.1104 5.9970
angles: 90.00 116.26 90.00
Space group C2/m (No. 12)
Asymmetric unit:
K 0.0000 0.0000 0.0000 [2 per cell]
Pa 0.1763 0.5000 0.3047 [4 per cell]
C 0.1627 0.5000 0.7524 [4 per cell]
N 0.0753 0.5000 0.8710 [4 per cell]
N 0.2067 0.3100 0.6839 [8 per cell]

Most intense lines, 2θ from 10° to 90°, sorted by position:
17.4°, intensity 55, hkl 1 1 0
19.1°, intensity 100, hkl 2 0 -1
19.4°, intensity 39, hkl 2 0 0
20.9°, intensity 46, hkl 1 1 -1
26.9°, intensity 83, hkl 1 1 1
29.2°, intensity 48, hkl 0 2 0
32.8°, intensity 75, hkl 3 1 0
33.7°, intensity 59, hkl 1 1 -2
35.1°, intensity 59, hkl 2 2 -1
47.1°, intensity 32, hkl 5 1 -1